Er4ScSe5: computed X-ray powder pattern (Cu Kα X-rays), based on a PBE-relaxed structure.

Largest 10 diffraction maxima, low angle first, 10 to 90 degrees two-theta:
2θ (°), I/Imax, h k l
27.2, 11, 0 1 5
31.6, 100, 1 0 10
45.1, 37, 1 1 0
45.4, 36, 0 1 20
56.1, 19, 0 2 10
66.0, 12, 2 0 20
74.8, 17, 2 1 10
75.2, 15, 1 1 30
83.3, 6, 3 0 0
83.5, 12, 1 2 20

Atomic structure:
abc: 4.0169 4.0169 48.7850
angles: 90.00 90.00 120.00
Space group R-3m (No. 166, hexagonal axes)
Asymmetric unit:
Er: 0.0000 0.0000 0.1018 x6
Er: 0.0000 0.0000 0.2995 x6
Sc: 0.0000 0.0000 0.5000 x3
Se: 0.0000 0.0000 0.0000 x3
Se: 0.0000 0.0000 0.1976 x6
Se: 0.0000 0.0000 0.4012 x6